[1]
Calculated powder X-ray diffraction pattern of MoW3Se4S4 for Cu Kα X-rays, from the GGA-PBE geometry in the Materials Project.

Structure:
a = 3.2532 Å, b = 3.2532 Å, c = 40.1490 Å
α = 90.00°, β = 90.00°, γ = 120.00°
Sites, in units of the cell vectors:
Mo  0.0000  0.0000  0.0000
W  0.0000  0.0000  0.3761
W  0.3333  0.6667  0.1884
W  0.3333  0.6667  0.5645
Se  0.0000  0.0000  0.1459
Se  0.0000  0.0000  0.2310
Se  0.3333  0.6667  0.0423
Se  0.3333  0.6667  0.9577
S  0.0000  0.0000  0.5258
S  0.0000  0.0000  0.6032
S  0.3333  0.6667  0.3375
S  0.3333  0.6667  0.4147

Most intense lines, 15 to 90 degrees two-theta, low angle first:
2θ (°)	d (Å)	I_rel	(hkl)
31.8	2.816	52	1 0 0
32.5	2.757	19	1 0 3
33.7	2.658	29	1 0 5
36.6	2.457	100	1 0 8
43.5	2.081	83	0 1 13
45.1	2.010	32	1 0 14
56.6	1.626	37	1 1 0
57.8	1.594	24	1 1 5


[2]
Calculated powder X-ray diffraction pattern of MoWSe2S2 for Cu Kα X-rays, from the GGA-PBE geometry in the Materials Project.

Structure:
a = 3.2570 Å, b = 3.2570 Å, c = 36.5074 Å
α = 90.00°, β = 90.00°, γ = 120.00°
Sites, in units of the cell vectors:
Mo  0.0000  0.0000  0.0000
Mo  0.0000  0.0000  0.3758
W  0.3333  0.6667  0.1879
W  0.3333  0.6667  0.5637
Se  0.0000  0.0000  0.5168
Se  0.0000  0.0000  0.6105
Se  0.3333  0.6667  0.3292
Se  0.3333  0.6667  0.4223
S  0.0000  0.0000  0.1454
S  0.0000  0.0000  0.2304
S  0.3333  0.6667  0.0424
S  0.3333  0.6667  0.9576

Most intense lines, 15 to 90 degrees two-theta, low angle first:
2θ (°)	d (Å)	I_rel	(hkl)
31.7	2.818	53	1 0 0
34.1	2.631	25	1 0 5
37.5	2.399	100	1 0 8
45.6	1.990	58	0 1 13
47.5	1.915	21	1 0 14
56.5	1.628	34	1 1 0
58.0	1.589	20	1 1 5
80.9	1.188	16	1 1 21